Structure and theoretical powder X-ray diffraction pattern of Zr2Pd7 (a GGA-PBE-relaxed structure; Cu Kα (weighted mean of Kα1 and Kα2)).
Neutral-atom scattering factors, no anomalous dispersion.

Peak list (10 most intense, 2θ = 10–90°, low angle first)
| hkl | d (Å) | 2theta | I (rel.) |
| --- | --- | --- | --- |
| 2 0 0 | 2.440 | 36.83 | 23 |
| 2 0 1 | 2.380 | 37.79 | 24 |
| 0 0 6 | 2.295 | 39.25 | 76 |
| 2 0 2 | 2.260 | 39.89 | 31 |
| 1 3 -3 | 2.230 | 40.45 | 100 |
| 1 3 3 | 2.176 | 41.51 | 92 |
| 2 0 -4 | 2.047 | 44.25 | 22 |
| 0 6 0 | 1.463 | 63.58 | 18 |
| 3 3 -1 | 1.422 | 65.67 | 25 |
| 0 6 6 | 1.234 | 77.33 | 19 |

Atomic structure:
```
data_Zr2Pd7
_chemical_formula_sum 'Zr8 Pd28'
_symmetry_space_group_name_H-M 'C 1 2/m 1'
_symmetry_Int_Tables_number 12
_cell_length_a 4.8887
_cell_length_b 8.7808
_cell_length_c 13.7930
_cell_angle_alpha 90.00
_cell_angle_beta 93.27
_cell_angle_gamma 90.00
loop_
_symmetry_equiv_pos_as_xyz
'x,y,z'
'-x,-y,-z'
'-x,y,-z'
'x,-y,z'
'x+1/2,y+1/2,z'
'-x+1/2,-y+1/2,-z'
'-x+1/2,y+1/2,-z'
'x+1/2,-y+1/2,z'
loop_
_atom_site_label
_atom_site_fract_x
_atom_site_fract_y
_atom_site_fract_z
Zr1 0.2293 0.0000 0.0962
Zr2 0.2374 0.5000 0.5954
Pd1 0.0815 0.1775 0.2495
Pd2 0.1157 0.5000 0.2503
Pd3 0.2196 0.3385 0.0797
Pd4 0.2283 0.1621 0.5803
```

---

Structure and theoretical powder X-ray diffraction pattern of TbBH8SO10 (a GGA-PBE-relaxed structure; Cu Kα (weighted mean of Kα1 and Kα2)).
Neutral-atom scattering factors, no anomalous dispersion.

Peak list (10 most intense, 2θ = 10–90°, low angle first)
| hkl | d (Å) | 2theta | I (rel.) |
| --- | --- | --- | --- |
| 0 1 1 | 5.935 | 14.93 | 66 |
| 1 0 0 | 5.724 | 15.48 | 87 |
| 0 1 -1 | 5.017 | 17.68 | 57 |
| 0 0 2 | 4.661 | 19.04 | 100 |
| 1 1 0 | 4.314 | 20.59 | 40 |
| 1 0 2 | 4.103 | 21.66 | 42 |
| -1 1 1 | 3.868 | 22.99 | 33 |
| 0 2 1 | 3.328 | 26.79 | 81 |
| 1 2 1 | 2.969 | 30.10 | 34 |
| -2 1 1 | 2.453 | 36.64 | 34 |

Atomic structure:
```
data_TbBH8SO10
_chemical_formula_sum 'Tb2 B2 H16 S2 O20'
_symmetry_space_group_name_H-M 'P -1'
_symmetry_Int_Tables_number 2
_cell_length_a 5.8823
_cell_length_b 6.7673
_cell_length_c 9.7320
_cell_angle_alpha 79.76
_cell_angle_beta 76.69
_cell_angle_gamma 88.33
loop_
_symmetry_equiv_pos_as_xyz
'x,y,z'
'-x,-y,-z'
loop_
_atom_site_label
_atom_site_fract_x
_atom_site_fract_y
_atom_site_fract_z
Tb1 0.0829 0.3192 0.2765
B1 0.4160 0.6664 0.7302
H1 0.1819 0.8029 0.1165
H2 0.2228 0.7408 0.9182
H3 0.2431 0.4108 0.9543
H4 0.2651 0.0117 0.0169
H5 0.4158 0.7230 0.5136
H6 0.4341 0.2585 0.0060
H7 0.4724 0.6200 0.2889
H8 0.4986 0.9727 0.6985
S1 0.1312 0.2034 0.6568
O1 0.0207 0.3399 0.7573
O2 0.0273 0.0031 0.7186
O3 0.0825 0.2753 0.5154
O4 0.2103 0.6390 0.8560
O5 0.2656 0.2928 0.0288
O6 0.2917 0.8660 0.0269
O7 0.3090 0.6790 0.6079
O8 0.3881 0.1978 0.6478
O9 0.4217 0.5026 0.2561
O10 0.4370 0.1613 0.2741
```

---

Structure and theoretical powder X-ray diffraction pattern of SrMg4AlAu2 (a GGA-PBE-relaxed structure; Cu Kα (weighted mean of Kα1 and Kα2)).
Neutral-atom scattering factors, no anomalous dispersion.

Peak list (10 most intense, 2θ = 10–90°, low angle first)
| hkl | d (Å) | 2theta | I (rel.) |
| --- | --- | --- | --- |
| 1 0 0 | 5.913 | 14.98 | 100 |
| 1 0 2 | 5.204 | 17.04 | 66 |
| 0 1 3 | 3.882 | 22.91 | 18 |
| 0 1 5 | 3.168 | 28.17 | 26 |
| 2 0 2 | 2.854 | 31.34 | 23 |
| 1 1 5 | 2.792 | 32.05 | 52 |
| 0 1 7 | 2.585 | 34.70 | 21 |
| 1 1 7 | 2.369 | 37.98 | 30 |
| 2 1 5 | 2.161 | 41.79 | 34 |
| 2 1 7 | 1.946 | 46.67 | 16 |

Atomic structure:
```
data_SrMg4AlAu2
_chemical_formula_sum 'Sr2 Mg8 Al2 Au4'
_symmetry_space_group_name_H-M 'A m m 2'
_symmetry_Int_Tables_number 38
_cell_length_a 5.9129
_cell_length_b 4.5824
_cell_length_c 21.9204
_cell_angle_alpha 90.00
_cell_angle_beta 90.00
_cell_angle_gamma 90.00
loop_
_symmetry_equiv_pos_as_xyz
'x,y,z'
'-x,-y,z'
'-x,y,z'
'x,-y,z'
'x,y+1/2,z+1/2'
'-x,-y+1/2,z+1/2'
'-x,y+1/2,z+1/2'
'x,-y+1/2,z+1/2'
loop_
_atom_site_label
_atom_site_fract_x
_atom_site_fract_y
_atom_site_fract_z
Sr1 0.0000 0.0000 0.0000
Mg1 0.2529 0.0000 0.2591
Mg2 0.2544 0.0000 0.8523
Al1 0.0000 0.0000 0.3777
Au1 0.0000 0.0000 0.1617
Au2 0.0000 0.0000 0.5918
```

---

Structure and theoretical powder X-ray diffraction pattern of PrTmBe2Si2 (a GGA-PBE-relaxed structure; Cu Kα (weighted mean of Kα1 and Kα2)).
Neutral-atom scattering factors, no anomalous dispersion.

Peak list (10 most intense, 2θ = 10–90°, low angle first)
| hkl | d (Å) | 2theta | I (rel.) |
| --- | --- | --- | --- |
| 0 0 2 | 4.119 | 21.58 | 25 |
| 1 0 0 | 3.382 | 26.35 | 62 |
| 0 1 2 | 2.614 | 34.31 | 100 |
| 1 1 0 | 1.953 | 46.51 | 26 |
| 1 1 2 | 1.764 | 51.81 | 16 |
| 1 0 4 | 1.759 | 51.99 | 20 |
| 2 0 2 | 1.564 | 59.05 | 21 |
| 1 1 4 | 1.417 | 65.92 | 18 |
| 0 1 6 | 1.272 | 74.60 | 10 |
| 1 2 2 | 1.221 | 78.31 | 18 |

Atomic structure:
```
data_PrTmBe2Si2
_chemical_formula_sum 'Pr1 Tm1 Be2 Si2'
_symmetry_space_group_name_H-M 'P -3 m 1'
_symmetry_Int_Tables_number 164
_symmetry_space_group_name_Hall '-P 3 2"'
_cell_length_a 3.9055
_cell_length_b 3.9055
_cell_length_c 8.2376
_cell_angle_alpha 90.00
_cell_angle_beta 90.00
_cell_angle_gamma 120.00
loop_
_atom_site_label
_atom_site_fract_x
_atom_site_fract_y
_atom_site_fract_z
Pr1 0.0000 0.0000 0.0000
Tm1 0.0000 0.0000 0.5000
Be1 0.3333 0.6667 0.2642
Si1 0.3333 0.6667 0.7353
```

---

Structure and theoretical powder X-ray diffraction pattern of La2Cu2F (a GGA-PBE-relaxed structure; Cu Kα (weighted mean of Kα1 and Kα2)).
Neutral-atom scattering factors, no anomalous dispersion.

Peak list (10 most intense, 2θ = 10–90°, low angle first)
| hkl | d (Å) | 2theta | I (rel.) |
| --- | --- | --- | --- |
| 0 0 1 | 7.315 | 12.10 | 17 |
| 1 0 0 | 3.562 | 25.00 | 37 |
| 1 0 1 | 3.202 | 27.86 | 9 |
| 1 0 2 | 2.552 | 35.17 | 100 |
| 1 1 0 | 2.056 | 44.04 | 40 |
| 0 0 4 | 1.829 | 49.87 | 9 |
| 1 0 4 | 1.627 | 56.57 | 7 |
| 2 0 2 | 1.601 | 57.56 | 23 |
| 1 1 4 | 1.367 | 68.69 | 19 |
| 2 1 2 | 1.263 | 75.21 | 21 |

Atomic structure:
```
data_La2Cu2F
_chemical_formula_sum 'La2 Cu2 F1'
_symmetry_space_group_name_H-M 'P -6 m 2'
_symmetry_Int_Tables_number 187
_symmetry_space_group_name_Hall 'P -6 2'
_cell_length_a 4.1127
_cell_length_b 4.1127
_cell_length_c 7.3151
_cell_angle_alpha 90.00
_cell_angle_beta 90.00
_cell_angle_gamma 120.00
loop_
_atom_site_label
_atom_site_fract_x
_atom_site_fract_y
_atom_site_fract_z
La1 0.0000 0.0000 0.2398
Cu1 0.3333 0.6667 0.5000
Cu2 0.6667 0.3333 0.5000
F1 0.6667 0.3333 0.0000
```

---

Structure and theoretical powder X-ray diffraction pattern of Mg2ZnCdSn2 (a GGA-PBE-relaxed structure; Cu Kα (weighted mean of Kα1 and Kα2)).
Neutral-atom scattering factors, no anomalous dispersion.

Peak list (10 most intense, 2θ = 10–90°, low angle first)
| hkl | d (Å) | 2theta | I (rel.) |
| --- | --- | --- | --- |
| 1 1 1 | 3.819 | 23.29 | 100 |
| 3 1 -1 | 2.342 | 38.44 | 88 |
| 0 2 0 | 2.333 | 38.60 | 44 |
| 4 0 0 | 2.003 | 45.28 | 17 |
| 2 2 -2 | 1.991 | 45.57 | 34 |
| 2 2 -6 | 1.649 | 55.73 | 15 |
| 4 2 0 | 1.519 | 60.98 | 14 |
| 6 0 -2 | 1.354 | 69.41 | 11 |
| 3 3 -1 | 1.349 | 69.73 | 30 |
| 6 2 -2 | 1.171 | 82.34 | 9 |

Atomic structure:
```
data_Mg2ZnCdSn2
_chemical_formula_sum 'Mg8 Zn4 Cd4 Sn8'
_symmetry_space_group_name_H-M 'P 1 m 1'
_symmetry_Int_Tables_number 6
_cell_length_a 8.1233
_cell_length_b 4.6653
_cell_length_c 15.4970
_cell_angle_alpha 90.00
_cell_angle_beta 99.61
_cell_angle_gamma 90.00
loop_
_symmetry_equiv_pos_as_xyz
'x,y,z'
'x,-y,z'
loop_
_atom_site_label
_atom_site_fract_x
_atom_site_fract_y
_atom_site_fract_z
Mg1 0.0000 0.0000 0.0000
Mg2 0.0052 0.5000 0.4914
Mg3 0.2383 0.0000 0.7378
Mg4 0.2454 0.5000 0.2409
Mg5 0.4833 0.0000 0.4841
Mg6 0.4986 0.5000 0.9981
Mg7 0.7444 0.0000 0.2362
Mg8 0.7565 0.5000 0.7390
Zn1 0.0614 0.5000 0.6760
Zn2 0.0619 0.0000 0.1825
Zn3 0.3055 0.5000 0.4250
Zn4 0.5575 0.5000 0.1810
Cd1 0.3070 0.0000 0.9297
Cd2 0.5571 0.0000 0.6751
Cd3 0.8085 0.0000 0.4269
Cd4 0.8119 0.5000 0.9309
Sn1 0.1202 0.5000 0.8591
Sn2 0.1283 0.0000 0.3634
Sn3 0.3602 0.5000 0.6090
Sn4 0.3725 0.0000 0.1226
Sn5 0.6089 0.5000 0.3626
Sn6 0.6204 0.0000 0.8659
Sn7 0.8754 0.5000 0.1246
Sn8 0.8830 0.0000 0.6180
```

---

Structure and theoretical powder X-ray diffraction pattern of Y2Ho2CI3Cl2 (a GGA-PBE-relaxed structure; Cu Kα (weighted mean of Kα1 and Kα2)).
Neutral-atom scattering factors, no anomalous dispersion.

Peak list (10 most intense, 2θ = 10–90°, low angle first)
| hkl | d (Å) | 2theta | I (rel.) |
| --- | --- | --- | --- |
| 0 0 1 | 8.318 | 10.64 | 81 |
| 4 0 1 | 3.681 | 24.18 | 29 |
| 3 1 -1 | 3.147 | 28.36 | 15 |
| 6 0 0 | 2.998 | 29.81 | 36 |
| 3 1 1 | 2.939 | 30.42 | 18 |
| 1 1 -2 | 2.862 | 31.25 | 100 |
| 5 1 -1 | 2.622 | 34.20 | 35 |
| 5 1 2 | 2.104 | 42.99 | 21 |
| 7 1 -2 | 2.038 | 44.46 | 20 |
| 0 2 0 | 1.945 | 46.69 | 22 |

Atomic structure:
```
data_Y2Ho2CI3Cl2
_chemical_formula_sum 'Y4 Ho4 C2 I6 Cl4'
_symmetry_space_group_name_H-M 'C 1 2/m 1'
_symmetry_Int_Tables_number 12
_cell_length_a 18.2990
_cell_length_b 3.8896
_cell_length_c 8.4640
_cell_angle_alpha 90.00
_cell_angle_beta 100.64
_cell_angle_gamma 90.00
loop_
_symmetry_equiv_pos_as_xyz
'x,y,z'
'-x,-y,-z'
'-x,y,-z'
'x,-y,z'
'x+1/2,y+1/2,z'
'-x+1/2,-y+1/2,-z'
'-x+1/2,y+1/2,-z'
'x+1/2,-y+1/2,z'
loop_
_atom_site_label
_atom_site_fract_x
_atom_site_fract_y
_atom_site_fract_z
Y1 0.0016 0.0000 0.3088
Ho1 0.1326 0.5000 0.5653
C1 0.0000 0.5000 0.5000
I1 0.0000 0.5000 0.0000
I2 0.1740 0.0000 0.3139
Cl1 0.1504 0.0000 0.7953
```

---

Structure and theoretical powder X-ray diffraction pattern of Li4AlAg2Sb (a GGA-PBE-relaxed structure; Cu Kα (weighted mean of Kα1 and Kα2)).
Neutral-atom scattering factors, no anomalous dispersion.

Peak list (10 most intense, 2θ = 10–90°, low angle first)
| hkl | d (Å) | 2theta | I (rel.) |
| --- | --- | --- | --- |
| 1 0 0 | 4.486 | 19.79 | 11 |
| 1 0 1 | 3.704 | 24.03 | 100 |
| 1 1 1 | 2.856 | 31.32 | 14 |
| 1 1 2 | 2.281 | 39.51 | 61 |
| 2 0 0 | 2.243 | 40.20 | 31 |
| 1 0 3 | 1.966 | 46.17 | 14 |
| 2 1 1 | 1.919 | 47.38 | 31 |
| 2 2 0 | 1.586 | 58.16 | 10 |
| 2 1 3 | 1.479 | 62.85 | 11 |
| 3 1 2 | 1.302 | 72.60 | 19 |

Atomic structure:
```
data_Li4AlAg2Sb
_chemical_formula_sum 'Li4 Al1 Ag2 Sb1'
_symmetry_space_group_name_H-M 'P -4 m 2'
_symmetry_Int_Tables_number 115
_cell_length_a 4.4863
_cell_length_b 4.4863
_cell_length_c 6.5627
_cell_angle_alpha 90.00
_cell_angle_beta 90.00
_cell_angle_gamma 90.00
loop_
_symmetry_equiv_pos_as_xyz
'x,y,z'
'y,-x,-z'
'-x,-y,z'
'-y,x,-z'
'-x,y,z'
'-y,-x,-z'
'x,-y,z'
'y,x,-z'
loop_
_atom_site_label
_atom_site_fract_x
_atom_site_fract_y
_atom_site_fract_z
Li1 0.0000 0.0000 0.0000
Li2 0.0000 0.5000 0.2433
Li3 0.5000 0.5000 0.5000
Al1 0.5000 0.5000 0.0000
Ag1 0.0000 0.5000 0.7765
Sb1 0.0000 0.0000 0.5000
```

---

Structure and theoretical powder X-ray diffraction pattern of BaLiLuSe3 (a GGA-PBE-relaxed structure; Cu Kα (weighted mean of Kα1 and Kα2)).
Neutral-atom scattering factors, no anomalous dispersion.

Peak list (10 most intense, 2θ = 10–90°, low angle first)
| hkl | d (Å) | 2theta | I (rel.) |
| --- | --- | --- | --- |
| 1 0 -1 | 7.184 | 12.32 | 19 |
| 2 0 0 | 4.179 | 21.26 | 23 |
| 0 1 1 | 3.807 | 23.36 | 22 |
| 2 1 -1 | 2.998 | 29.80 | 100 |
| 0 0 3 | 2.969 | 30.10 | 75 |
| 1 1 -3 | 2.490 | 36.07 | 22 |
| 2 1 2 | 2.271 | 39.69 | 21 |
| 4 0 -1 | 2.174 | 41.53 | 18 |
| 0 2 0 | 2.105 | 42.97 | 26 |
| 3 1 2 | 1.888 | 48.20 | 25 |

Atomic structure:
```
data_BaLiLuSe3
_chemical_formula_sum 'Ba2 Li2 Lu2 Se6'
_symmetry_space_group_name_H-M 'P 1 21/m 1'
_symmetry_Int_Tables_number 11
_cell_length_a 8.7068
_cell_length_b 4.2100
_cell_length_c 9.2916
_cell_angle_alpha 90.00
_cell_angle_beta 106.25
_cell_angle_gamma 90.00
loop_
_symmetry_equiv_pos_as_xyz
'x,y,z'
'-x,-y,-z'
'-x,y+1/2,-z'
'x,-y+1/2,z'
loop_
_atom_site_label
_atom_site_fract_x
_atom_site_fract_y
_atom_site_fract_z
Ba1 0.2050 0.2500 0.2496
Li1 0.0857 0.2500 0.5927
Lu1 0.3244 0.7500 0.8452
Se1 0.1122 0.2500 0.8695
Se2 0.2183 0.7500 0.5316
Se3 0.4560 0.7500 0.1607
```